# 1
Diffraction record for Sm2Ga2Fe12Co3C. The PXRD pattern is simulated, not measured: it uses a DFT-relaxed cell (PBE, Alexandria) and CuKα.

Cell and atoms:
Cell lengths 6.502, 6.502, 6.473 Å; angles 97.05, 97.05, 82.92 degrees
Element x y z (fractional)
Sm: 0.155 0.155 0.358
Sm: 0.845 0.845 0.642
Ga: 0.396 0.396 0.102
Ga: 0.604 0.604 0.898
Fe: 0.155 0.155 0.849
Fe: 0.161 0.654 0.342
Fe: 0.204 0.499 0.706
Fe: 0.214 0.786 0.000
Fe: 0.346 0.839 0.658
Fe: 0.499 0.204 0.706
Fe: 0.501 0.796 0.294
Fe: 0.654 0.161 0.342
Fe: 0.786 0.214 0.000
Fe: 0.796 0.501 0.294
Fe: 0.839 0.346 0.658
Fe: 0.845 0.845 0.151
Co: 0.000 0.500 0.000
Co: 0.500 0.000 0.000
Co: 0.500 0.500 0.500
C: 0.000 0.000 0.000

The 10 most intense peaks (10° ≤ 2θ ≤ 90°), by intensity:
| Position (°2θ) | intensity |
| --- | --- |
| 42.31 | 100.0 |
| 42.03 | 92.8 |
| 36.19 | 59.3 |
| 43.26 | 53.6 |
| 37.49 | 45.0 |
| 29.76 | 26.8 |
| 61.79 | 26.7 |
| 30.92 | 25.9 |
| 43.12 | 23.1 |
| 47.50 | 21.0 |

***

# 2
Diffraction record for Fe2Co4Ge2C. The PXRD pattern is simulated, not measured: it uses a DFT-relaxed cell (PBE, Alexandria) and CuKα.

Cell and atoms:
Cell lengths 5.159, 5.159, 5.159 Å; angles 120.56, 120.56, 89.03 degrees
Element x y z (fractional)
Fe: 0.246 0.246 0.000
Fe: 0.754 0.754 0.000
Co: 0.242 0.242 0.484
Co: 0.242 0.758 0.000
Co: 0.758 0.242 0.000
Co: 0.758 0.758 0.516
Ge: 0.250 0.750 0.500
Ge: 0.750 0.250 0.500
C: 0.500 0.500 0.000

The 9 most intense peaks (10° ≤ 2θ ≤ 90°), by intensity:
| Position (°2θ) | intensity |
| --- | --- |
| 43.07 | 100.0 |
| 50.46 | 32.8 |
| 89.79 | 21.5 |
| 73.42 | 19.7 |
| 49.55 | 17.5 |
| 88.40 | 11.3 |
| 74.14 | 9.5 |
| 34.78 | 1.4 |
| 62.75 | 0.5 |

***

# 3
Diffraction record for FeCoH18C6N12. The PXRD pattern is simulated, not measured: it uses a DFT-relaxed cell (PBE, Alexandria) and CuKα.

Cell and atoms:
Cell lengths 7.414, 7.414, 7.414 Å; angles 97.31, 97.31, 97.31 degrees
Element x y z (fractional)
Fe: 0.000 0.000 0.000
Co: 0.500 0.500 0.500
H: 0.162 0.352 0.429
H: 0.198 0.472 0.636
H: 0.264 0.268 0.604
H: 0.268 0.604 0.264
H: 0.352 0.429 0.162
H: 0.364 0.802 0.528
H: 0.396 0.736 0.732
H: 0.429 0.162 0.352
H: 0.472 0.636 0.198
H: 0.528 0.364 0.802
H: 0.571 0.838 0.648
H: 0.604 0.264 0.268
H: 0.636 0.198 0.472
H: 0.648 0.571 0.838
H: 0.732 0.396 0.736
H: 0.736 0.732 0.396
H: 0.802 0.528 0.364
H: 0.838 0.648 0.571
C: 0.053 0.780 0.868
C: 0.132 0.947 0.220
C: 0.220 0.132 0.947
C: 0.780 0.868 0.053
C: 0.868 0.053 0.780
C: 0.947 0.220 0.132
N: 0.081 0.644 0.782
N: 0.218 0.919 0.356
N: 0.257 0.386 0.547
N: 0.356 0.218 0.919
N: 0.386 0.547 0.257
N: 0.453 0.743 0.614
N: 0.547 0.257 0.386
N: 0.614 0.453 0.743
N: 0.644 0.782 0.081
N: 0.743 0.614 0.453
N: 0.782 0.081 0.644
N: 0.919 0.356 0.218

The 10 most intense peaks (10° ≤ 2θ ≤ 90°), by intensity:
| Position (°2θ) | intensity |
| --- | --- |
| 15.92 | 100.0 |
| 29.33 | 66.2 |
| 18.46 | 55.7 |
| 40.89 | 24.7 |
| 47.23 | 12.8 |
| 52.93 | 11.1 |
| 37.37 | 11.1 |
| 24.47 | 10.6 |
| 43.00 | 10.4 |
| 44.08 | 9.7 |

***

# 4
Diffraction record for InFe2CoC. The PXRD pattern is simulated, not measured: it uses a DFT-relaxed cell (PBE, Alexandria) and CuKα.

Cell and atoms:
Cell lengths 3.840, 3.840, 3.895 Å; angles 90.00, 90.00, 90.00 degrees
Element x y z (fractional)
In: 0.000 0.000 0.000
Fe: 0.000 0.500 0.500
Fe: 0.500 0.000 0.500
Co: 0.500 0.500 0.000
C: 0.500 0.500 0.500

The 10 most intense peaks (10° ≤ 2θ ≤ 90°), by intensity:
| Position (°2θ) | intensity |
| --- | --- |
| 40.50 | 100.0 |
| 47.35 | 35.4 |
| 83.37 | 22.0 |
| 68.65 | 21.4 |
| 46.64 | 18.6 |
| 82.32 | 11.4 |
| 87.62 | 10.9 |
| 69.21 | 10.4 |
| 32.75 | 9.4 |
| 32.99 | 5.5 |

***

# 5
Diffraction record for K2FeCoC6N6. The PXRD pattern is simulated, not measured: it uses a DFT-relaxed cell (PBE, Alexandria) and CuKα.

Cell and atoms:
Cell lengths 7.123, 7.123, 7.123 Å; angles 60.00, 60.00, 60.00 degrees
Element x y z (fractional)
K: 0.250 0.250 0.250
K: 0.750 0.750 0.750
Fe: 0.000 0.000 0.000
Co: 0.500 0.500 0.500
C: 0.187 0.187 0.813
C: 0.187 0.813 0.187
C: 0.187 0.813 0.813
C: 0.813 0.187 0.187
C: 0.813 0.187 0.813
C: 0.813 0.813 0.187
N: 0.304 0.304 0.696
N: 0.304 0.696 0.304
N: 0.304 0.696 0.696
N: 0.696 0.304 0.304
N: 0.696 0.304 0.696
N: 0.696 0.696 0.304

The 10 most intense peaks (10° ≤ 2θ ≤ 90°), by intensity:
| Position (°2θ) | intensity |
| --- | --- |
| 25.00 | 100.0 |
| 35.65 | 55.8 |
| 17.61 | 43.6 |
| 57.90 | 28.8 |
| 44.04 | 25.2 |
| 51.31 | 25.0 |
| 69.88 | 22.3 |
| 80.99 | 9.3 |
| 86.40 | 6.6 |
| 30.75 | 6.6 |

***

# 6
Diffraction record for LaFeCoC2. The PXRD pattern is simulated, not measured: it uses a DFT-relaxed cell (PBE, Alexandria) and CuKα.

Cell and atoms:
Cell lengths 3.425, 3.425, 10.503 Å; angles 90.00, 90.00, 90.00 degrees
Element x y z (fractional)
La: 0.000 0.000 0.000
La: 0.500 0.500 0.500
Fe: 0.000 0.500 0.250
Fe: 0.500 0.000 0.750
Co: 0.000 0.500 0.750
Co: 0.500 0.000 0.250
C: 0.000 0.000 0.338
C: 0.000 0.000 0.662
C: 0.500 0.500 0.162
C: 0.500 0.500 0.838

The 10 most intense peaks (10° ≤ 2θ ≤ 90°), by intensity:
| Position (°2θ) | intensity |
| --- | --- |
| 41.04 | 100.0 |
| 27.39 | 74.6 |
| 36.71 | 55.0 |
| 34.15 | 40.8 |
| 65.83 | 28.1 |
| 53.52 | 27.4 |
| 65.03 | 24.1 |
| 66.66 | 17.8 |
| 61.15 | 16.4 |
| 51.00 | 14.6 |

***

# 7
Diffraction record for FeCo2C6N6. The PXRD pattern is simulated, not measured: it uses a DFT-relaxed cell (PBE, Alexandria) and CuKα.

Cell and atoms:
Cell lengths 6.955, 6.955, 6.955 Å; angles 60.00, 60.00, 60.00 degrees
Element x y z (fractional)
Fe: 0.000 0.000 0.000
Co: 0.500 0.500 0.500
Co: 0.750 0.750 0.750
C: 0.190 0.190 0.810
C: 0.190 0.810 0.190
C: 0.190 0.810 0.810
C: 0.810 0.190 0.190
C: 0.810 0.190 0.810
C: 0.810 0.810 0.190
N: 0.310 0.310 0.690
N: 0.310 0.690 0.310
N: 0.310 0.690 0.690
N: 0.690 0.310 0.310
N: 0.690 0.310 0.690
N: 0.690 0.690 0.310

The 10 most intense peaks (10° ≤ 2θ ≤ 90°), by intensity:
| Position (°2θ) | intensity |
| --- | --- |
| 25.62 | 100.0 |
| 18.04 | 80.4 |
| 36.54 | 60.2 |
| 15.61 | 34.2 |
| 59.44 | 31.6 |
| 52.64 | 26.1 |
| 45.16 | 24.2 |
| 71.83 | 23.7 |
| 30.14 | 20.0 |
| 41.04 | 11.9 |

***

# 8
Diffraction record for FeCo2NiC. The PXRD pattern is simulated, not measured: it uses a DFT-relaxed cell (PBE, Alexandria) and CuKα.

Cell and atoms:
Cell lengths 3.696, 3.696, 3.799 Å; angles 90.00, 90.00, 90.00 degrees
Element x y z (fractional)
Fe: 0.000 0.000 0.000
Co: 0.000 0.500 0.500
Co: 0.500 0.000 0.500
Ni: 0.500 0.500 0.000
C: 0.000 0.000 0.500

The 8 most intense peaks (10° ≤ 2θ ≤ 90°), by intensity:
| Position (°2θ) | intensity |
| --- | --- |
| 41.96 | 100.0 |
| 49.32 | 35.3 |
| 71.19 | 21.1 |
| 87.28 | 20.8 |
| 47.88 | 19.4 |
| 85.13 | 11.1 |
| 72.32 | 10.1 |
| 33.84 | 0.9 |

***

# 9
Diffraction record for Sm2Fe5Co12C. The PXRD pattern is simulated, not measured: it uses a DFT-relaxed cell (PBE, Alexandria) and CuKα.

Cell and atoms:
Cell lengths 6.395, 6.395, 6.346 Å; angles 96.28, 96.28, 83.49 degrees
Element x y z (fractional)
Sm: 0.160 0.160 0.358
Sm: 0.840 0.840 0.642
Fe: 0.000 0.500 0.000
Fe: 0.404 0.404 0.098
Fe: 0.500 0.000 0.000
Fe: 0.500 0.500 0.500
Fe: 0.596 0.596 0.902
Co: 0.154 0.154 0.855
Co: 0.158 0.647 0.349
Co: 0.216 0.784 0.000
Co: 0.217 0.499 0.717
Co: 0.353 0.842 0.651
Co: 0.499 0.217 0.717
Co: 0.501 0.783 0.283
Co: 0.647 0.158 0.349
Co: 0.783 0.501 0.283
Co: 0.784 0.216 0.000
Co: 0.842 0.353 0.651
Co: 0.846 0.846 0.145
C: 0.000 0.000 0.000

The 10 most intense peaks (10° ≤ 2θ ≤ 90°), by intensity:
| Position (°2θ) | intensity |
| --- | --- |
| 42.51 | 100.0 |
| 42.90 | 74.4 |
| 36.59 | 55.5 |
| 44.52 | 45.6 |
| 43.09 | 43.2 |
| 30.33 | 38.9 |
| 38.37 | 38.0 |
| 43.24 | 22.6 |
| 63.17 | 20.9 |
| 48.19 | 20.5 |

***

# 10
Diffraction record for Sm4Fe27Co7C2. The PXRD pattern is simulated, not measured: it uses a DFT-relaxed cell (PBE, Alexandria) and CuKα.

Cell and atoms:
Cell lengths 6.463, 6.463, 12.829 Å; angles 96.27, 96.27, 83.62 degrees
Element x y z (fractional)
Sm: 0.000 0.000 0.000
Sm: 0.000 0.000 0.499
Sm: 0.679 0.679 0.145
Sm: 0.679 0.679 0.644
Fe: 0.000 0.000 0.249
Fe: 0.051 0.627 0.322
Fe: 0.053 0.627 0.822
Fe: 0.055 0.342 0.181
Fe: 0.055 0.342 0.681
Fe: 0.192 0.680 0.651
Fe: 0.192 0.681 0.151
Fe: 0.244 0.244 0.870
Fe: 0.335 0.623 0.463
Fe: 0.337 0.624 0.964
Fe: 0.342 0.055 0.181
Fe: 0.342 0.055 0.681
Fe: 0.431 0.431 0.276
Fe: 0.436 0.436 0.774
Fe: 0.484 0.999 0.492
Fe: 0.487 0.999 0.993
Fe: 0.623 0.335 0.463
Fe: 0.624 0.337 0.964
Fe: 0.627 0.051 0.322
Fe: 0.627 0.053 0.822
Fe: 0.680 0.192 0.651
Fe: 0.680 0.680 0.397
Fe: 0.681 0.192 0.151
Fe: 0.681 0.681 0.896
Fe: 0.998 0.998 0.748
Fe: 0.999 0.484 0.492
Fe: 0.999 0.487 0.993
Co: 0.243 0.243 0.370
Co: 0.339 0.339 0.572
Co: 0.339 0.839 0.322
Co: 0.340 0.340 0.072
Co: 0.340 0.840 0.822
Co: 0.839 0.339 0.322
Co: 0.840 0.340 0.822
C: 0.839 0.839 0.322
C: 0.840 0.840 0.822

The 10 most intense peaks (10° ≤ 2θ ≤ 90°), by intensity:
| Position (°2θ) | intensity |
| --- | --- |
| 42.43 | 100.0 |
| 42.06 | 92.5 |
| 44.06 | 63.1 |
| 42.58 | 61.7 |
| 30.01 | 56.5 |
| 36.14 | 50.9 |
| 41.94 | 46.7 |
| 37.95 | 40.9 |
| 42.75 | 31.3 |
| 62.42 | 30.0 |

***

# 11
Diffraction record for Sm4Fe31Co3C6. The PXRD pattern is simulated, not measured: it uses a DFT-relaxed cell (PBE, Alexandria) and CuKα.

Cell and atoms:
Cell lengths 6.505, 6.528, 13.029 Å; angles 83.69, 83.64, 83.69 degrees
Element x y z (fractional)
Sm: 0.000 0.000 0.000
Sm: 0.000 0.000 0.500
Sm: 0.691 0.691 0.345
Sm: 0.693 0.692 0.847
Fe: 0.001 0.004 0.243
Fe: 0.002 0.006 0.744
Fe: 0.003 0.488 0.502
Fe: 0.004 0.486 0.003
Fe: 0.061 0.346 0.315
Fe: 0.061 0.346 0.815
Fe: 0.061 0.630 0.673
Fe: 0.062 0.630 0.173
Fe: 0.249 0.249 0.125
Fe: 0.250 0.250 0.625
Fe: 0.344 0.063 0.314
Fe: 0.344 0.063 0.814
Fe: 0.344 0.629 0.531
Fe: 0.344 0.846 0.673
Fe: 0.345 0.346 0.422
Fe: 0.345 0.630 0.031
Fe: 0.345 0.846 0.173
Fe: 0.346 0.348 0.922
Fe: 0.439 0.441 0.220
Fe: 0.439 0.442 0.720
Fe: 0.487 0.002 0.501
Fe: 0.487 0.004 0.000
Fe: 0.628 0.064 0.172
Fe: 0.629 0.062 0.673
Fe: 0.629 0.345 0.530
Fe: 0.629 0.346 0.031
Fe: 0.686 0.687 0.602
Fe: 0.687 0.203 0.343
Fe: 0.687 0.203 0.844
Fe: 0.844 0.347 0.673
Fe: 0.844 0.348 0.173
Co: 0.209 0.689 0.844
Co: 0.210 0.688 0.344
Co: 0.687 0.689 0.105
C: 0.345 0.845 0.422
C: 0.346 0.845 0.922
C: 0.844 0.845 0.673
C: 0.844 0.846 0.173
C: 0.845 0.346 0.422
C: 0.845 0.347 0.923

The 10 most intense peaks (10° ≤ 2θ ≤ 90°), by intensity:
| Position (°2θ) | intensity |
| --- | --- |
| 42.05 | 100.0 |
| 41.56 | 93.4 |
| 43.55 | 50.9 |
| 35.78 | 47.7 |
| 29.74 | 47.6 |
| 37.46 | 40.8 |
| 42.14 | 20.9 |
| 43.08 | 16.9 |
| 31.06 | 15.6 |
| 32.26 | 15.1 |